Calculated PXRD pattern
Compound: Li2TlSnAu2
Radiation: a wavelength of 1.5418 Å
Structure: a DFT-relaxed cell (GGA-PBE, OQMD)
Neutral-atom scattering factors, no anomalous dispersion.

Structural model:
a b c (Å): 4.8009 4.8009 6.0867
angles (deg): 90.00 90.00 120.00
Space group P-6m2 (No. 187)
Unique sites:
Li (0.0000, 0.0000, 0.2480) x2
Tl (0.3333, 0.6667, 0.5000) x1
Sn (0.6667, 0.3333, 0.0000) x1
Au (0.3333, 0.6667, 0.0000) x1
Au (0.6667, 0.3333, 0.5000) x1

Top 10 peaks for 2θ from 15° to 90°, sorted by position:
d/Å, 2theta, intensity, index
4.158, 21.4, 96.6, 1 0 0
3.043, 29.3, 59.5, 0 0 2
2.456, 36.6, 56.6, 1 0 2
2.400, 37.5, 100.0, 1 1 0
1.885, 48.3, 92.9, 1 1 2
1.717, 53.4, 19.5, 2 0 2
1.396, 67.0, 19.9, 2 1 2
1.285, 73.7, 28.8, 1 1 4
1.261, 75.4, 25.7, 3 0 2
1.117, 87.3, 18.5, 2 2 2

---

Calculated PXRD pattern
Compound: GdDyCo2C2
Radiation: a wavelength of 1.5418 Å
Structure: a DFT-relaxed cell (GGA-PBE, OQMD)
Neutral-atom scattering factors, no anomalous dispersion.

Structural model:
a b c (Å): 3.6211 3.6211 6.9826
angles (deg): 90.00 90.00 90.00
Space group P-4m2 (No. 115)
Unique sites:
Gd (0.0000, 0.0000, 0.0000) x1
Dy (0.0000, 0.0000, 0.5000) x1
Co (0.5000, 0.5000, 0.2554) x2
C (0.0000, 0.5000, 0.2535) x2

Top 10 peaks for 2θ from 15° to 90°, sorted by position:
d/Å, 2theta, intensity, index
3.621, 24.6, 24.1, 1 0 0
3.491, 25.5, 8.4, 0 0 2
2.560, 35.0, 47.8, 1 1 0
2.513, 35.7, 100.0, 1 0 2
2.065, 43.8, 13.1, 1 1 2
1.811, 50.4, 20.1, 2 0 0
1.746, 52.4, 8.8, 0 0 4
1.469, 63.3, 36.7, 2 1 2
1.442, 64.6, 15.9, 1 1 4
1.257, 75.7, 11.5, 2 0 4

---

What is the formula in the first record? Li2TlSnAu2